Computed X-ray powder pattern of LiPWO5 for λ = 1.5418 Å (Cu Kα), from a GGA+U-relaxed structure.
No peak broadening, texture or thermal motion is included.

Structural model:
```
LiPWO5
1.0
7.0282 -2.7288 0.0000
7.0282 2.7288 0.0000
-4.2893 0.0000 9.9819
Li P W O
4 4 4 20
direct
0.0000 0.0000 0.0000
0.0000 0.0000 0.5000
0.0000 0.5000 0.0000
0.5000 0.0000 0.5000
0.3691 0.3811 0.3110
0.3811 0.3691 0.8110
0.6189 0.6309 0.1890
0.6309 0.6189 0.6890
0.0000 0.5000 0.5000
0.0060 0.9940 0.7500
0.5000 0.0000 0.0000
0.9940 0.0060 0.2500
0.0914 0.1579 0.4234
0.1579 0.0914 0.9234
0.2052 0.6832 0.3427
0.2058 0.6723 0.8448
0.2938 0.3114 0.1606
0.3021 0.3282 0.4040
0.3114 0.2938 0.6606
0.3168 0.7948 0.1573
0.3282 0.3021 0.9040
0.3277 0.7942 0.6552
0.6723 0.2058 0.3448
0.6718 0.6979 0.0960
0.6832 0.2052 0.8427
0.6886 0.7062 0.3394
0.6979 0.6718 0.5960
0.7062 0.6886 0.8394
0.7942 0.3277 0.1552
0.7948 0.3168 0.6573
0.8421 0.9086 0.0766
0.9086 0.8421 0.5766
```

Peak list (8 most intense, 2θ = 10–80°, in order of rising 2θ)
| two_theta | d [Å] | intensity |
| --- | --- | --- |
| 17.7 | 5.024 | 100 |
| 18.5 | 4.796 | 48 |
| 21.0 | 4.236 | 32 |
| 26.4 | 3.380 | 45 |
| 26.5 | 3.359 | 57 |
| 26.9 | 3.316 | 46 |
| 37.6 | 2.394 | 41 |
| 42.5 | 2.125 | 34 |